Starting from a PBE+U-relaxed structure, the PXRD pattern of Y4V6O19 was simulated for Cu Kα.
No peak broadening, texture or thermal motion is included.

Structure:
Cell: 12.5408 8.9636 8.8919 Å, 90.00 134.77 90.00°
Space group C2 (No. 5)
Inequivalent atoms, fractional coordinates:
Y1 0.1458 0.0000 0.4981 x4
Y2 0.1510 0.6939 0.7975 x4
V1 0.0000 0.1760 0.0000 x2
V2 0.0000 0.4974 0.0000 x2
V3 0.0086 0.3477 0.6689 x4
V4 0.1627 0.8340 0.1748 x4
O1 0.0000 0.1940 0.5000 x2
O2 0.0000 0.5022 0.5000 x2
O3 0.0000 0.8453 0.5000 x2
O4 0.0010 0.8398 0.8561 x4
O5 0.0273 0.5257 0.8188 x4
O6 0.0319 0.1747 0.2440 x4
O7 0.1507 0.3398 0.1475 x4
O8 0.1637 0.0580 0.1315 x4
O9 0.1823 0.6307 0.2092 x4
O10 0.2144 0.3227 0.8878 x4
O11 0.2154 0.3803 0.5447 x4

Most intense lines, 2θ from 10° to 90°, by intensity:
2θ/deg  I (rel.)  index
24.40  100  1 1 -2
42.97  55  3 3 -3
24.53  53  3 1 -1
31.76  53  3 1 0
31.59  40  1 3 -1
34.76  25  0 2 2
37.66  22  3 3 -2
34.93  20  4 2 -2
56.52  19  3 1 -5
31.89  19  4 0 -3